1.
Simulated powder XRD pattern
Compound: NaYC4O10
Radiation: copper Kα
Structure: a structure optimized by DFT (PBE)
No peak broadening, texture or thermal motion is included.

Cell and atoms:
```
data_NaYC4O10
_cell_length_a 6.436
_cell_length_b 11.622
_cell_length_c 6.456
_cell_angle_alpha 90.00
_cell_angle_beta 90.21
_cell_angle_gamma 90.00
_space_group_name_H-M_alt 'P 1 21 1'
_space_group_IT_number 4
_space_group_name_Hall 'P 2yb'
loop_
_atom_site_label
_atom_site_type_symbol
_atom_site_fract_x
_atom_site_fract_y
_atom_site_fract_z
Na1 Na 0.108 0.000 0.438
Y1 Y 0.159 0.240 0.768
C1 C 0.061 0.280 0.256
C2 C 0.104 0.950 0.918
C3 C 0.329 0.649 0.309
C4 C 0.375 0.490 0.572
O1 O 0.058 0.221 0.420
O2 O 0.064 0.919 0.098
O3 O 0.084 0.867 0.749
O4 O 0.168 0.044 0.847
O5 O 0.185 0.266 0.108
O6 O 0.186 0.696 0.206
O7 O 0.257 0.556 0.424
O8 O 0.258 0.409 0.636
O9 O 0.448 0.016 0.377
O10 O 0.484 0.178 0.687
```

Most intense lines, 2θ = 10–90°, low angle first:
h k l, 2θ/deg, Rel. int.
1 0 0, 13.8, 56
0 1 1, 15.7, 100
1 0 1, 19.5, 16
1 2 0, 20.6, 26
1 3 0, 26.9, 31
2 1 0, 28.8, 23
0 4 0, 30.8, 14
0 2 2, 31.7, 23
1 1 2, 32.0, 14
1 2 2, 34.7, 16



2.
Simulated powder XRD pattern
Compound: Eu2CuS3
Radiation: copper Kα
Structure: a structure optimized by DFT (PBE)
No peak broadening, texture or thermal motion is included.

Cell and atoms:
```
data_Eu2CuS3
_cell_length_a 10.659
_cell_length_b 3.940
_cell_length_c 12.623
_cell_angle_alpha 90.00
_cell_angle_beta 90.00
_cell_angle_gamma 90.00
_space_group_name_H-M_alt 'P n m a'
_space_group_IT_number 62
_space_group_name_Hall '-P 2ac 2n'
loop_
_atom_site_label
_atom_site_type_symbol
_atom_site_fract_x
_atom_site_fract_y
_atom_site_fract_z
Eu1 Eu 0.017 0.250 0.237
Eu2 Eu 0.217 0.750 0.499
Cu1 Cu 0.233 0.250 0.724
S1 S 0.058 0.250 0.612
S2 S 0.110 0.750 0.099
S3 S 0.240 0.750 0.829
```

Most intense lines, 2θ = 10–90°, low angle first:
h k l, 2θ/deg, Rel. int.
2 0 2, 21.8, 100
1 1 1, 25.1, 34
0 0 4, 28.3, 54
2 1 1, 29.1, 73
1 1 3, 32.2, 100
4 0 0, 33.6, 43
2 1 3, 35.5, 79
4 0 4, 44.5, 34
2 1 5, 46.0, 36
0 2 0, 46.1, 40



3.
Simulated powder XRD pattern
Compound: K3PS4
Radiation: copper Kα
Structure: a structure optimized by DFT (PBE)
No peak broadening, texture or thermal motion is included.

Cell and atoms:
```
data_K3PS4
_cell_length_a 9.144
_cell_length_b 10.663
_cell_length_c 9.321
_cell_angle_alpha 90.00
_cell_angle_beta 90.00
_cell_angle_gamma 90.00
_space_group_name_H-M_alt 'P n m a'
_space_group_IT_number 62
_space_group_name_Hall '-P 2ac 2n'
loop_
_atom_site_label
_atom_site_type_symbol
_atom_site_fract_x
_atom_site_fract_y
_atom_site_fract_z
K1 K 0.055 0.045 0.202
K2 K 0.140 0.750 0.421
P1 P 0.222 0.750 0.981
S1 S 0.020 0.750 0.081
S2 S 0.166 0.090 0.538
S3 S 0.194 0.750 0.761
```

Most intense lines, 2θ = 10–90°, low angle first:
h k l, 2θ/deg, Rel. int.
1 1 1, 15.9, 58
0 2 2, 25.4, 28
2 2 0, 25.7, 28
1 2 2, 27.2, 35
2 0 2, 27.4, 38
0 1 3, 30.0, 68
3 0 1, 30.9, 49
2 3 0, 31.9, 100
2 3 1, 33.3, 48
2 2 3, 38.9, 43



4.
Simulated powder XRD pattern
Compound: Hf2FeRh
Radiation: copper Kα
Structure: a structure optimized by DFT (PBE)
No peak broadening, texture or thermal motion is included.

Cell and atoms:
```
data_Hf2FeRh
_cell_length_a 6.447
_cell_length_b 6.447
_cell_length_c 6.447
_cell_angle_alpha 90.00
_cell_angle_beta 90.00
_cell_angle_gamma 90.00
_space_group_name_H-M_alt 'F m -3 m'
_space_group_IT_number 225
_space_group_name_Hall '-F 4 2 3'
loop_
_atom_site_label
_atom_site_type_symbol
_atom_site_fract_x
_atom_site_fract_y
_atom_site_fract_z
Hf1 Hf 0.250 0.250 0.250
Fe1 Fe 0.000 0.000 0.000
Rh1 Rh 0.000 0.000 0.500
```

Most intense lines, 2θ = 10–90°, low angle first:
h k l, 2θ/deg, Rel. int.
1 1 1, 23.9, 2
2 0 0, 27.7, 16
2 2 0, 39.5, 100
3 1 1, 46.7, 1
2 2 2, 48.9, 5
4 0 0, 57.2, 17
4 2 0, 64.7, 7
4 2 2, 71.7, 34
4 4 0, 85.1, 11